# 1
The following is a simulated powder X-ray diffraction pattern of Ba2ZnSn3Pt4. It was derived from a cell relaxed with PBE, using Cu Ka.

Structural model:
a = 4.7763 Å, b = 4.7763 Å, c = 10.5970 Å
α = 90.00°, β = 90.00°, γ = 90.00°
Space group P-4m2 (No. 115)
One atom of each set of equivalent atoms:
Ba1 0.0000 0.5000 0.2486 [2 per cell]
Zn1 0.5000 0.5000 0.0000 [1 per cell]
Sn1 0.0000 0.0000 0.0000 [1 per cell]
Sn2 0.0000 0.5000 0.6225 [2 per cell]
Pt1 0.0000 0.0000 0.5000 [1 per cell]
Pt2 0.0000 0.5000 0.8799 [2 per cell]
Pt3 0.5000 0.5000 0.5000 [1 per cell]

Top 10 peaks for 2θ from 5° to 70°, by angle:
2θ (°)  Rel. int.
16.73  11
31.45  100
37.67  55
43.41  31
46.90  12
49.89  25
54.33  19
59.02  12
61.65  10
64.13  20

# 2
The following is a simulated powder X-ray diffraction pattern of CaCuAs2O7. It was derived from a cell relaxed with PBE, using Cu Ka.

Structural model:
a = 7.3384 Å, b = 9.0594 Å, c = 9.4536 Å
α = 90.00°, β = 109.24°, γ = 90.00°
Space group P2_1/c (No. 14)
One atom of each set of equivalent atoms:
Ca1 0.2475 0.0657 0.4378 [4 per cell]
Cu1 0.2169 0.0512 0.8207 [4 per cell]
As1 0.0251 0.6997 0.4588 [4 per cell]
As2 0.4212 0.7374 0.7378 [4 per cell]
O1 0.0058 0.5864 0.3092 [4 per cell]
O2 0.0137 0.6187 0.9164 [4 per cell]
O3 0.1524 0.1824 0.9614 [4 per cell]
O4 0.2516 0.6379 0.5850 [4 per cell]
O5 0.3498 0.5816 0.2208 [4 per cell]
O6 0.3653 0.2301 0.7991 [4 per cell]
O7 0.4308 0.6393 0.8932 [4 per cell]

Top 10 peaks for 2θ from 5° to 70°, by angle:
2θ (°)  Rel. int.
19.60  16
21.07  38
27.10  79
28.00  100
28.66  69
32.34  17
32.55  71
40.29  23
47.47  19
59.00  16

# 3
The following is a simulated powder X-ray diffraction pattern of Sr4In3. It was derived from a cell relaxed with PBE, using Cu Ka.

Structural model:
a = 5.7375 Å, b = 5.7375 Å, c = 28.1732 Å
α = 90.00°, β = 90.00°, γ = 120.00°
Space group R-3m (No. 166, hexagonal axes)
One atom of each set of equivalent atoms:
Sr1 0.0000 0.0000 0.1236 [6 per cell]
Sr2 0.0000 0.0000 0.3746 [6 per cell]
In1 0.0000 0.0000 0.2479 [6 per cell]
In2 0.0000 0.0000 0.5000 [3 per cell]

Top 10 peaks for 2θ from 5° to 70°, by angle:
2θ (°)  Rel. int.
9.42  8
18.13  5
18.93  6
31.15  100
36.71  4
44.64  18
55.42  28
55.48  9
64.91  6
65.02  6

# 4
The following is a simulated powder X-ray diffraction pattern of Na2Cd17In3. It was derived from a cell relaxed with PBE, using Cu Ka.

Structural model:
a = 11.6054 Å, b = 11.6054 Å, c = 15.2456 Å
α = 90.00°, β = 90.00°, γ = 120.00°
Space group R-3m (No. 166, hexagonal axes)
One atom of each set of equivalent atoms:
Na1 0.0000 0.0000 0.1431 [6 per cell]
Cd1 0.0000 0.0000 0.3609 [6 per cell]
Cd2 0.0000 0.2473 0.5000 [18 per cell]
Cd3 0.0000 0.5000 0.0000 [9 per cell]
Cd4 0.0479 0.5239 0.6897 [18 per cell]
In1 0.0000 0.5000 0.5000 [9 per cell]

Top 10 peaks for 2θ from 5° to 70°, by angle:
2θ (°)  Rel. int.
15.27  43
26.21  56
30.82  99
33.30  100
35.32  56
35.63  60
36.23  42
37.70  34
43.12  30
47.57  32

# 5
The following is a simulated powder X-ray diffraction pattern of LaTbPm2Dy5. It was derived from a cell relaxed with PBE, using Cu Ka.

Structural model:
a = 8.7815 Å, b = 8.7815 Å, c = 15.5072 Å
α = 90.00°, β = 90.00°, γ = 90.00°
Space group I4/mcm (No. 140)
One atom of each set of equivalent atoms:
La1 0.0000 0.0000 0.2500 [4 per cell]
Tb1 0.0000 0.5000 0.2500 [4 per cell]
Pm1 0.1166 0.3834 0.0000 [8 per cell]
Dy1 0.0000 0.0000 0.0000 [4 per cell]
Dy2 0.2084 0.2916 0.3642 [16 per cell]

Top 10 peaks for 2θ from 5° to 70°, by angle:
2θ (°)  Rel. int.
28.54  48
28.75  50
30.77  100
32.24  13
36.93  13
37.38  17
42.84  21
46.87  13
52.22  21
55.92  14

# 6
The following is a simulated powder X-ray diffraction pattern of TbNi3Sb. It was derived from a cell relaxed with PBE, using Cu Ka.

Structural model:
a = 5.3238 Å, b = 9.8427 Å, c = 7.0355 Å
α = 90.00°, β = 90.00°, γ = 90.00°
Space group Imma (No. 74)
One atom of each set of equivalent atoms:
Tb1 0.0000 0.2500 0.0749 [4 per cell]
Ni1 0.0000 0.2500 0.5094 [4 per cell]
Ni2 0.2500 0.1234 0.7500 [8 per cell]
Sb1 0.0000 0.0000 0.5000 [4 per cell]

Top 10 peaks for 2θ from 5° to 70°, by angle:
2θ (°)  Rel. int.
18.02  18
25.32  18
27.75  100
30.05  28
31.82  33
37.25  30
39.50  28
42.59  68
44.96  58
50.51  55

# 7
The following is a simulated powder X-ray diffraction pattern of Ag3F8. It was derived from a cell relaxed with PBE, using Cu Ka.

Structural model:
a = 5.1411 Å, b = 11.6266 Å, c = 7.5384 Å
α = 90.00°, β = 132.50°, γ = 90.00°
Space group P2_1/c (No. 14)
One atom of each set of equivalent atoms:
Ag1 0.0000 0.0000 0.0000 [2 per cell]
Ag2 0.2337 0.1891 0.4880 [4 per cell]
F1 0.0766 0.0392 0.3116 [4 per cell]
F2 0.0788 0.7208 0.8095 [4 per cell]
F3 0.3847 0.1640 0.1641 [4 per cell]
F4 0.4698 0.5993 0.7041 [4 per cell]

Top 10 peaks for 2θ from 5° to 70°, by angle:
2θ (°)  Rel. int.
18.87  38
23.10  47
24.70  67
24.90  61
28.07  100
34.90  21
38.29  37
48.78  21
54.93  21
55.93  22

# 8
The following is a simulated powder X-ray diffraction pattern of ErZn11Pd. It was derived from a cell relaxed with PBE, using Cu Ka.

Structural model:
a = 5.2176 Å, b = 12.5817 Å, c = 6.7554 Å
α = 90.00°, β = 111.98°, γ = 90.00°
Space group C2/m (No. 12)
One atom of each set of equivalent atoms:
Er1 0.0000 0.0000 0.0000 [2 per cell]
Zn1 0.0000 0.5000 0.5000 [2 per cell]
Zn2 0.1049 0.3915 0.2143 [8 per cell]
Zn3 0.1681 0.1757 0.3528 [8 per cell]
Zn4 0.2500 0.2500 0.0000 [4 per cell]
Pd1 0.0000 0.0000 0.5000 [2 per cell]

Top 10 peaks for 2θ from 5° to 70°, by angle:
2θ (°)  Rel. int.
34.72  35
34.99  47
39.93  66
40.26  70
40.39  97
40.49  33
40.65  100
40.78  35
45.16  33
45.58  30

# 9
The following is a simulated powder X-ray diffraction pattern of Pr5YAl2. It was derived from a cell relaxed with PBE, using Cu Ka.

Structural model:
a = 5.4815 Å, b = 5.4815 Å, c = 20.1747 Å
α = 90.00°, β = 90.00°, γ = 120.00°
Space group P6_3/mmc (No. 194)
One atom of each set of equivalent atoms:
Pr1 0.0000 0.0000 0.1540 [4 per cell]
Pr2 0.3333 0.6667 0.0548 [4 per cell]
Pr3 0.3333 0.6667 0.2500 [2 per cell]
Y1 0.3333 0.6667 0.7500 [2 per cell]
Al1 0.3333 0.6667 0.6015 [4 per cell]

Top 10 peaks for 2θ from 5° to 70°, by angle:
2θ (°)  Rel. int.
22.93  6
25.77  36
29.04  20
32.66  100
42.07  10
46.85  13
54.26  9
56.65  19
58.30  26
68.46  8

# 10
The following is a simulated powder X-ray diffraction pattern of Tm2MgAl2Rh5. It was derived from a cell relaxed with PBE, using Cu Ka.

Structural model:
a = 9.9225 Å, b = 9.9225 Å, c = 3.4100 Å
α = 90.00°, β = 90.00°, γ = 90.00°
Space group P4/mbm (No. 127)
One atom of each set of equivalent atoms:
Tm1 0.1737 0.3263 0.0000 [4 per cell]
Mg1 0.0000 0.0000 0.0000 [2 per cell]
Al1 0.1259 0.6259 0.0000 [4 per cell]
Rh1 0.0000 0.5000 0.5000 [2 per cell]
Rh2 0.0679 0.7933 0.5000 [8 per cell]

Top 10 peaks for 2θ from 5° to 70°, by angle:
2θ (°)  Rel. int.
31.84  24
33.13  81
36.76  22
37.37  92
38.49  38
39.01  100
42.20  35
53.76  23
66.25  21
67.30  33

# 11
The following is a simulated powder X-ray diffraction pattern of La3BiIr. It was derived from a cell relaxed with PBE, using Cu Ka.

Structural model:
a = 15.1635 Å, b = 12.3591 Å, c = 7.1448 Å
α = 90.00°, β = 90.43°, γ = 90.00°
Space group C2/c (No. 15)
One atom of each set of equivalent atoms:
La1 0.0077 0.1839 0.4772 [8 per cell]
La2 0.1065 0.4478 0.9261 [8 per cell]
La3 0.1946 0.1181 0.7542 [8 per cell]
Bi1 0.2020 0.1454 0.2570 [8 per cell]
Ir1 0.0000 0.0345 0.7500 [4 per cell]
Ir2 0.0000 0.3966 0.2500 [4 per cell]

Top 10 peaks for 2θ from 5° to 70°, by angle:
2θ (°)  Rel. int.
22.38  100
23.47  41
24.93  40
27.68  40
30.35  89
31.20  64
31.39  65
37.69  52
37.88  63
40.63  44